Calculated powder diffractogram
Compound: YAu3
Radiation: Cu Kα (weighted mean of Kα1 and Kα2)
Structure: a GGA-PBE-relaxed structure
Peak positions follow from Bragg's law for the DFT cell and can differ from measured ones.

Crystal structure
Unit cell a=5.0833 b=6.2123 c=5.1815 alpha=90.00 beta=90.00 gamma=90.00
Space group Pmmn (No. 59, origin choice 2)
Symmetry-distinct sites (fractional):
Y 0.2500 0.2500 0.1551 [2 per cell]
Au 0.2500 0.5068 0.6591 [4 per cell]
Au 0.2500 0.7500 0.1648 [2 per cell]

Main lines, low angle first (10 to 90 degrees two-theta):
2theta	Rel. int.	h k l
33.6	28	0 2 1
35.3	43	2 0 0
38.1	100	1 2 1
39.0	54	1 0 2
49.6	19	2 2 1
61.4	17	0 2 3
65.3	21	3 2 1
65.9	12	3 0 2
72.9	21	2 2 3
73.5	17	1 4 2

=====

Calculated powder diffractogram
Compound: K2P4PtClO11
Radiation: Cu Kα (weighted mean of Kα1 and Kα2)
Structure: a GGA-PBE-relaxed structure
Peak positions follow from Bragg's law for the DFT cell and can differ from measured ones.

Crystal structure
Unit cell a=8.8404 b=9.7943 c=9.8771 alpha=65.89 beta=79.91 gamma=67.59
Space group P-1 (No. 2)
Symmetry-distinct sites (fractional):
K 0.1739 0.2478 0.2139 [2 per cell]
K 0.2802 0.0352 0.8785 [2 per cell]
P 0.1186 0.7026 0.1778 [2 per cell]
P 0.2611 0.4690 0.7475 [2 per cell]
P 0.3225 0.8357 0.2764 [2 per cell]
P 0.3373 0.7204 0.7905 [2 per cell]
Pt 0.4536 0.3831 0.5757 [2 per cell]
Cl 0.3639 0.2320 0.5136 [2 per cell]
O 0.0062 0.2649 0.7034 [2 per cell]
O 0.0613 0.8182 0.0207 [2 per cell]
O 0.1157 0.5962 0.6650 [2 per cell]
O 0.1869 0.8461 0.7194 [2 per cell]
O 0.1919 0.5322 0.1861 [2 per cell]
O 0.2096 0.8742 0.3960 [2 per cell]
O 0.2654 0.3200 0.8769 [2 per cell]
O 0.2814 0.7452 0.1935 [2 per cell]
O 0.3733 0.5458 0.8005 [2 per cell]
O 0.4054 0.9466 0.1674 [2 per cell]
O 0.4668 0.7305 0.8576 [2 per cell]

Main lines, low angle first (10 to 90 degrees two-theta):
2theta	Rel. int.	h k l
10.5	50	0 1 0
10.8	85	1 0 0
11.4	100	0 1 1
12.2	28	1 1 0
12.8	41	1 1 1
14.5	53	1 0 1
19.3	31	1 1 2
23.5	24	-1 1 2
23.7	32	2 0 1
31.8	26	-2 1 2

=====

Calculated powder diffractogram
Compound: Na3Au
Radiation: Cu Kα (weighted mean of Kα1 and Kα2)
Structure: a GGA-PBE-relaxed structure
Peak positions follow from Bragg's law for the DFT cell and can differ from measured ones.

Crystal structure
Unit cell a=6.6671 b=6.6671 c=5.3649 alpha=90.00 beta=90.00 gamma=120.00
Space group P6_3/mmc (No. 194)
Symmetry-distinct sites (fractional):
Na 0.1754 0.3508 0.2500 [6 per cell]
Au 0.3333 0.6667 0.7500 [2 per cell]

Main lines, low angle first (10 to 90 degrees two-theta):
2theta	Rel. int.	h k l
15.3	46	1 0 0
22.6	100	1 0 1
26.7	47	1 1 0
31.0	20	2 0 0
33.4	22	0 0 2
35.3	84	2 0 1
43.3	27	1 1 2
44.8	39	2 1 1
60.9	17	2 0 3
66.0	17	2 2 2

=====

Calculated powder diffractogram
Compound: LiAlSiO5
Radiation: Cu Kα (weighted mean of Kα1 and Kα2)
Structure: a GGA-PBE-relaxed structure
Peak positions follow from Bragg's law for the DFT cell and can differ from measured ones.

Crystal structure
Unit cell a=10.4705 b=8.2704 c=5.0467 alpha=90.00 beta=90.00 gamma=90.00
Space group Pna2_1 (No. 33)
Symmetry-distinct sites (fractional):
Li 0.1885 0.1886 0.0000 [4 per cell]
Al 0.1596 0.5815 0.0045 [4 per cell]
Si 0.1453 0.3742 0.5051 [4 per cell]
O 0.0056 0.6579 0.0564 [4 per cell]
O 0.0097 0.0890 0.9921 [4 per cell]
O 0.1774 0.3988 0.1879 [4 per cell]
O 0.1905 0.5385 0.6658 [4 per cell]
O 0.2256 0.2197 0.6206 [4 per cell]

Main lines, low angle first (10 to 90 degrees two-theta):
2theta	Rel. int.	h k l
13.6	100	1 1 0
16.9	24	2 0 0
20.1	20	2 1 0
20.6	61	0 1 1
27.7	90	3 1 0
29.2	95	1 2 1
35.6	34	0 0 2
38.2	17	3 2 1
51.4	16	4 3 1
60.0	12	1 2 3

=====

Calculated powder diffractogram
Compound: BiB
Radiation: Cu Kα (weighted mean of Kα1 and Kα2)
Structure: a GGA-PBE-relaxed structure
Peak positions follow from Bragg's law for the DFT cell and can differ from measured ones.

Crystal structure
Unit cell a=5.5424 b=5.5424 c=5.5424 alpha=90.00 beta=90.00 gamma=90.00
Space group F-43m (No. 216)
Symmetry-distinct sites (fractional):
Bi 0.0000 0.0000 0.0000 [4 per cell]
B 0.2500 0.2500 0.2500 [4 per cell]

Main lines, low angle first (10 to 90 degrees two-theta):
2theta	Rel. int.	h k l
27.9	100	1 1 1
32.3	48	2 0 0
46.3	42	2 2 0
54.9	48	3 1 1
57.6	13	2 2 2
67.6	7	4 0 0
74.6	20	3 3 1
76.9	17	4 2 0
85.9	15	4 2 2